# 1
For MgFe6O6F6, a crystal structure in the Materials Project, relaxed with PBE+U gives the theoretical powder diffractogram in this record (Cu Ka).
Neutral-atom scattering factors, no anomalous dispersion.

Crystal structure
Unit cell a=3.0881 b=5.1884 c=14.3596 alpha=96.83 beta=90.19 gamma=90.30
Space group P1 (No. 1)
One atom of each set of equivalent atoms:
Mg: 0.0000 0.0000 0.0000 (multiplicity 1)
Fe: 0.0256 0.1420 0.1974 (multiplicity 1)
Fe: 0.0277 0.3164 0.8028 (multiplicity 1)
Fe: 0.0366 0.1227 0.5111 (multiplicity 1)
Fe: 0.5093 0.4897 0.0187 (multiplicity 1)
Fe: 0.5319 0.6294 0.3553 (multiplicity 1)
Fe: 0.5328 0.7247 0.6592 (multiplicity 1)
O: 0.0224 0.3144 0.9354 (multiplicity 1)
O: 0.0294 0.4465 0.2783 (multiplicity 1)
O: 0.0339 0.8247 0.4114 (multiplicity 1)
O: 0.5213 0.1813 0.1035 (multiplicity 1)
O: 0.5285 0.4682 0.7606 (multiplicity 1)
O: 0.5363 0.0109 0.5767 (multiplicity 1)
F: 0.0313 0.4882 0.5905 (multiplicity 1)
F: 0.0336 0.9535 0.7521 (multiplicity 1)
F: 0.4985 0.8194 0.9403 (multiplicity 1)
F: 0.5251 0.9442 0.2526 (multiplicity 1)
F: 0.5326 0.3214 0.4379 (multiplicity 1)
F: 0.9976 0.7249 0.0896 (multiplicity 1)

Peak list (10 most intense, 2θ = 5–70°, by angle)
2θ/deg, d/Å, Rel. int., h k l
23.9, 3.721, 60.6, 0 1 -3
27.0, 3.303, 100.0, 0 1 3
28.7, 3.109, 54.9, 0 1 -4
33.8, 2.655, 34.6, 1 -1 0
33.9, 2.642, 34.1, 1 1 0
34.6, 2.592, 57.8, 1 0 -3
34.7, 2.585, 37.3, 1 0 3
53.2, 1.722, 19.6, -1 1 6
55.2, 1.665, 28.5, 1 1 -7
59.9, 1.544, 27.8, 2 0 0

# 2
For MgFe4O4F4, a crystal structure in the Materials Project, relaxed with PBE+U gives the theoretical powder diffractogram in this record (Cu Ka).
Neutral-atom scattering factors, no anomalous dispersion.

Crystal structure
Unit cell a=3.0654 b=5.1270 c=9.8158 alpha=84.26 beta=89.97 gamma=89.99
Space group P1 (No. 1)
One atom of each set of equivalent atoms:
Mg: 0.0000 0.0000 0.0000 (multiplicity 1)
Fe: 0.0012 0.4992 0.0081 (multiplicity 1)
Fe: 0.0061 0.5367 0.4983 (multiplicity 1)
Fe: 0.5037 0.0237 0.2740 (multiplicity 1)
Fe: 0.5038 0.9282 0.7280 (multiplicity 1)
O: 0.0041 0.7630 0.6574 (multiplicity 1)
O: 0.5007 0.2309 0.0739 (multiplicity 1)
O: 0.5016 0.7627 0.9231 (multiplicity 1)
O: 0.5058 0.7105 0.4158 (multiplicity 1)
F: 0.0021 0.1762 0.8135 (multiplicity 1)
F: 0.0025 0.7748 0.1711 (multiplicity 1)
F: 0.0044 0.2436 0.3612 (multiplicity 1)
F: 0.5046 0.2811 0.5936 (multiplicity 1)

Peak list (10 most intense, 2θ = 5–70°, by angle)
2θ/deg, d/Å, Rel. int., h k l
23.9, 3.718, 99.3, 0 1 2
26.5, 3.363, 100.0, 0 1 -2
34.1, 2.628, 72.2, 1 1 0
34.5, 2.596, 68.9, 1 0 2
38.1, 2.364, 30.7, 1 1 2
48.7, 1.870, 54.1, -1 2 2
51.5, 1.773, 49.0, 1 -2 2
54.6, 1.682, 25.7, 0 2 -4
60.4, 1.533, 27.0, 2 0 0
64.9, 1.438, 28.7, 1 0 6

# 3
For MgFe12O12F12, a crystal structure in the Materials Project, relaxed with PBE+U gives the theoretical powder diffractogram in this record (Cu Ka).
Neutral-atom scattering factors, no anomalous dispersion.

Crystal structure
Unit cell a=9.6913 b=3.1165 c=14.6176 alpha=90.00 beta=91.45 gamma=90.00
Space group Pm (No. 6)
One atom of each set of equivalent atoms:
Mg: 0.0000 0.0000 0.0000 (multiplicity 1)
Fe: 0.0260 0.5000 0.1930 (multiplicity 1)
Fe: 0.0335 0.5000 0.5023 (multiplicity 1)
Fe: 0.0532 0.5000 0.8167 (multiplicity 1)
Fe: 0.2590 0.0000 0.6575 (multiplicity 1)
Fe: 0.2789 0.0000 0.9853 (multiplicity 1)
Fe: 0.2808 0.0000 0.3694 (multiplicity 1)
Fe: 0.5240 0.5000 0.1836 (multiplicity 1)
Fe: 0.5307 0.5000 0.8270 (multiplicity 1)
Fe: 0.5413 0.5000 0.5014 (multiplicity 1)
Fe: 0.6107 0.0000 0.9897 (multiplicity 1)
Fe: 0.7454 0.0000 0.3413 (multiplicity 1)
Fe: 0.7858 0.0000 0.6384 (multiplicity 1)
O: 0.1166 0.0000 0.4355 (multiplicity 1)
O: 0.1337 0.5000 0.9464 (multiplicity 1)
O: 0.1465 0.0000 0.7695 (multiplicity 1)
O: 0.1843 0.5000 0.6015 (multiplicity 1)
O: 0.3798 0.5000 0.4131 (multiplicity 1)
O: 0.4485 0.0000 0.8994 (multiplicity 1)
O: 0.5983 0.0000 0.1154 (multiplicity 1)
O: 0.6283 0.0000 0.4455 (multiplicity 1)
O: 0.6617 0.5000 0.2778 (multiplicity 1)
O: 0.6737 0.5000 0.9302 (multiplicity 1)
O: 0.6760 0.5000 0.6076 (multiplicity 1)
O: 0.9334 0.0000 0.5586 (multiplicity 1)
F: 0.1234 0.0000 0.1124 (multiplicity 1)
F: 0.1882 0.5000 0.2802 (multiplicity 1)
F: 0.3750 0.5000 0.0662 (multiplicity 1)
F: 0.3842 0.5000 0.7319 (multiplicity 1)
F: 0.4115 0.0000 0.2384 (multiplicity 1)
F: 0.4325 0.0000 0.5762 (multiplicity 1)
F: 0.6263 0.0000 0.7673 (multiplicity 1)
F: 0.8662 0.5000 0.3946 (multiplicity 1)
F: 0.8861 0.5000 0.7253 (multiplicity 1)
F: 0.9076 0.0000 0.2424 (multiplicity 1)
F: 0.9095 0.5000 0.0627 (multiplicity 1)
F: 0.9277 0.0000 0.8752 (multiplicity 1)

Peak list (10 most intense, 2θ = 5–70°, by angle)
2θ/deg, d/Å, Rel. int., h k l
25.6, 3.479, 80.1, 2 0 -3
26.3, 3.392, 72.0, 2 0 3
34.2, 2.623, 100.0, 0 1 3
38.8, 2.321, 31.5, 2 1 -3
50.8, 1.796, 16.8, 2 1 -6
51.0, 1.792, 27.1, 4 1 -3
51.6, 1.772, 16.7, 2 1 6
51.7, 1.768, 26.9, 4 1 3
59.3, 1.558, 22.5, 0 2 0
65.1, 1.434, 18.9, 6 1 0

# 4
For MgFe8O14F2, a crystal structure in the Materials Project, relaxed with PBE+U gives the theoretical powder diffractogram in this record (Cu Ka).
Neutral-atom scattering factors, no anomalous dispersion.

Crystal structure
Unit cell a=5.6307 b=7.4047 c=7.5556 alpha=82.63 beta=69.67 gamma=70.69
Space group P1 (No. 1)
One atom of each set of equivalent atoms:
Mg: 0.0000 0.0000 0.0000 (multiplicity 1)
Fe: 0.2190 0.6301 0.6534 (multiplicity 1)
Fe: 0.2374 0.1591 0.5975 (multiplicity 1)
Fe: 0.2389 0.6055 0.1530 (multiplicity 1)
Fe: 0.2888 0.1262 0.1598 (multiplicity 1)
Fe: 0.7001 0.8901 0.8437 (multiplicity 1)
Fe: 0.7093 0.4049 0.8630 (multiplicity 1)
Fe: 0.7402 0.3680 0.3746 (multiplicity 1)
Fe: 0.7634 0.8780 0.3903 (multiplicity 1)
O: 0.0616 0.9042 0.7383 (multiplicity 1)
O: 0.0936 0.7111 0.4087 (multiplicity 1)
O: 0.0999 0.3850 0.2249 (multiplicity 1)
O: 0.3520 0.5576 0.8818 (multiplicity 1)
O: 0.3709 0.8879 0.0329 (multiplicity 1)
O: 0.3856 0.3729 0.5449 (multiplicity 1)
O: 0.4292 0.0300 0.3585 (multiplicity 1)
O: 0.5787 0.9775 0.6338 (multiplicity 1)
O: 0.5837 0.4614 0.1466 (multiplicity 1)
O: 0.6236 0.1364 0.9644 (multiplicity 1)
O: 0.8558 0.6246 0.7975 (multiplicity 1)
O: 0.8786 0.3035 0.6064 (multiplicity 1)
O: 0.9014 0.7759 0.1455 (multiplicity 1)
O: 0.9226 0.1041 0.2666 (multiplicity 1)
F: 0.0920 0.2311 0.8821 (multiplicity 1)
F: 0.5859 0.6486 0.4764 (multiplicity 1)

Peak list (10 most intense, 2θ = 5–70°, by angle)
2θ/deg, d/Å, Rel. int., h k l
25.6, 3.477, 93.0, 1 0 2
26.2, 3.400, 100.0, 1 2 0
35.5, 2.530, 47.1, 1 0 -2
35.8, 2.509, 47.1, 0 2 2
36.4, 2.469, 21.6, 0 2 -2
51.6, 1.770, 16.8, 0 0 4
52.2, 1.751, 26.0, 3 0 2
52.3, 1.748, 28.2, 1 2 4
53.0, 1.727, 17.0, 1 4 2
53.9, 1.700, 17.4, 2 4 0

# 5
For MgFe6O6F6, a crystal structure in the Materials Project, relaxed with PBE+U gives the theoretical powder diffractogram in this record (Cu Ka).
Neutral-atom scattering factors, no anomalous dispersion.

Crystal structure
Unit cell a=3.0414 b=5.1268 c=14.4260 alpha=93.99 beta=90.01 gamma=90.01
Space group P1 (No. 1)
One atom of each set of equivalent atoms:
Mg: 0.0000 0.0000 0.0000 (multiplicity 1)
Fe: 0.9999 0.1346 0.5119 (multiplicity 1)
Fe: 0.0007 0.9497 0.1950 (multiplicity 1)
Fe: 0.0016 0.1808 0.8178 (multiplicity 1)
Fe: 0.5004 0.4906 0.0224 (multiplicity 1)
Fe: 0.5004 0.5451 0.3547 (multiplicity 1)
Fe: 0.5003 0.5959 0.6700 (multiplicity 1)
O: 0.0003 0.3725 0.4103 (multiplicity 1)
O: 0.0004 0.4754 0.7374 (multiplicity 1)
O: 0.0006 0.6934 0.2796 (multiplicity 1)
O: 0.5001 0.1659 0.9319 (multiplicity 1)
O: 0.5000 0.2916 0.5753 (multiplicity 1)
O: 0.5004 0.8464 0.1018 (multiplicity 1)
F: 0.0003 0.6538 0.9417 (multiplicity 1)
F: 0.0003 0.7946 0.5971 (multiplicity 1)
F: 0.0006 0.2962 0.0994 (multiplicity 1)
F: 0.4999 0.8901 0.4439 (multiplicity 1)
F: 0.5009 0.1753 0.2517 (multiplicity 1)
F: 0.5020 0.9435 0.7527 (multiplicity 1)

Peak list (10 most intense, 2θ = 5–70°, by angle)
2θ/deg, d/Å, Rel. int., h k l
24.5, 3.627, 69.1, 0 1 -3
26.3, 3.383, 100.0, 0 1 3
29.3, 3.044, 34.0, 0 1 -4
34.3, 2.614, 44.3, 1 -1 0
34.9, 2.569, 63.6, 1 0 3
38.6, 2.330, 38.6, 1 1 -3
50.7, 1.799, 24.9, 1 -1 6
52.7, 1.737, 45.0, 1 1 6
60.9, 1.521, 24.6, 2 0 0
62.4, 1.488, 23.9, 1 3 -1

# 6
For MgFe6O6F6, a crystal structure in the Materials Project, relaxed with PBE+U gives the theoretical powder diffractogram in this record (Cu Ka).
Neutral-atom scattering factors, no anomalous dispersion.

Crystal structure
Unit cell a=5.1572 b=5.7889 c=7.7918 alpha=83.54 beta=84.62 gamma=84.02
Space group P1 (No. 1)
One atom of each set of equivalent atoms:
Mg: 0.0000 0.0000 0.0000 (multiplicity 1)
Fe: 0.4601 0.8544 0.2103 (multiplicity 1)
Fe: 0.4657 0.5030 0.5075 (multiplicity 1)
Fe: 0.5149 0.2354 0.8567 (multiplicity 1)
Fe: 0.9429 0.5896 0.8065 (multiplicity 1)
Fe: 0.9630 0.0172 0.5167 (multiplicity 1)
Fe: 0.9808 0.3890 0.1853 (multiplicity 1)
O: 0.2627 0.8178 0.4290 (multiplicity 1)
O: 0.2979 0.1420 0.0758 (multiplicity 1)
O: 0.3090 0.4873 0.7466 (multiplicity 1)
O: 0.6511 0.5613 0.2806 (multiplicity 1)
O: 0.6737 0.2137 0.6091 (multiplicity 1)
O: 0.8097 0.3231 0.9549 (multiplicity 1)
F: 0.1084 0.9589 0.7528 (multiplicity 1)
F: 0.1678 0.3091 0.4256 (multiplicity 1)
F: 0.1772 0.6950 0.0939 (multiplicity 1)
F: 0.6851 0.8554 0.9528 (multiplicity 1)
F: 0.7650 0.7296 0.5911 (multiplicity 1)
F: 0.8042 0.0297 0.2648 (multiplicity 1)

Peak list (10 most intense, 2θ = 5–70°, by angle)
2θ/deg, d/Å, Rel. int., h k l
23.6, 3.774, 100.0, 1 1 1
27.0, 3.305, 94.2, -1 1 1
33.9, 2.641, 38.7, 1 -1 2
34.4, 2.605, 41.9, 1 1 -2
34.5, 2.598, 22.8, 0 2 -1
34.9, 2.573, 35.7, 0 0 3
35.1, 2.556, 19.2, 2 0 0
48.2, 1.887, 21.5, 2 2 2
60.6, 1.528, 19.8, 0 2 -4
62.0, 1.498, 17.9, 3 -1 2

# 7
For MgFe10O9F11, a crystal structure in the Materials Project, relaxed with PBE+U gives the theoretical powder diffractogram in this record (Cu Ka).
Neutral-atom scattering factors, no anomalous dispersion.

Crystal structure
Unit cell a=4.8934 b=4.9590 c=15.3275 alpha=90.16 beta=91.37 gamma=96.66
Space group P1 (No. 1)
One atom of each set of equivalent atoms:
Mg: 0.0000 0.0000 0.0000 (multiplicity 1)
Fe: 0.4108 0.9662 0.2207 (multiplicity 1)
Fe: 0.4425 0.9759 0.4132 (multiplicity 1)
Fe: 0.4553 0.9780 0.6086 (multiplicity 1)
Fe: 0.4572 0.7266 0.0210 (multiplicity 1)
Fe: 0.4591 0.9732 0.8026 (multiplicity 1)
Fe: 0.9272 0.4713 0.3095 (multiplicity 1)
Fe: 0.9485 0.4780 0.5096 (multiplicity 1)
Fe: 0.9491 0.4964 0.1149 (multiplicity 1)
Fe: 0.9580 0.4749 0.7087 (multiplicity 1)
Fe: 0.9966 0.5113 0.8937 (multiplicity 1)
O: 0.2206 0.7798 0.3147 (multiplicity 1)
O: 0.2248 0.8367 0.1154 (multiplicity 1)
O: 0.2454 0.7798 0.5092 (multiplicity 1)
O: 0.2490 0.7851 0.7055 (multiplicity 1)
O: 0.2657 0.8440 0.9060 (multiplicity 1)
O: 0.6391 0.1653 0.3100 (multiplicity 1)
O: 0.6504 0.1749 0.5091 (multiplicity 1)
O: 0.6676 0.1698 0.7074 (multiplicity 1)
O: 0.8084 0.6337 0.9994 (multiplicity 1)
F: 0.1302 0.2940 0.4101 (multiplicity 1)
F: 0.1464 0.2949 0.6068 (multiplicity 1)
F: 0.1494 0.2967 0.2198 (multiplicity 1)
F: 0.1999 0.3013 0.7979 (multiplicity 1)
F: 0.2228 0.3394 0.0094 (multiplicity 1)
F: 0.7088 0.6539 0.2160 (multiplicity 1)
F: 0.7375 0.1231 0.0974 (multiplicity 1)
F: 0.7404 0.6667 0.7977 (multiplicity 1)
F: 0.7448 0.6563 0.4101 (multiplicity 1)
F: 0.7597 0.6591 0.6068 (multiplicity 1)
F: 0.7637 0.1401 0.8993 (multiplicity 1)

Peak list (10 most intense, 2θ = 5–70°, by angle)
2θ/deg, d/Å, Rel. int., h k l
24.2, 3.679, 100.0, 1 -1 0
27.2, 3.274, 82.8, 1 1 0
34.2, 2.621, 33.4, 1 0 -5
34.4, 2.609, 20.2, 0 1 -5
34.6, 2.596, 21.6, 0 1 5
35.0, 2.564, 31.4, 1 0 5
38.5, 2.338, 19.1, 1 -1 5
49.2, 1.851, 23.6, -2 1 5
49.6, 1.839, 30.3, 2 -2 0
50.3, 1.815, 21.4, 2 -1 5

# 8
For NaMnFeF6, a crystal structure in the Materials Project, relaxed with PBE+U gives the theoretical powder diffractogram in this record (Cu Ka).
Neutral-atom scattering factors, no anomalous dispersion.

Crystal structure
Unit cell a=9.1880 b=9.1880 c=5.1030 alpha=90.00 beta=90.00 gamma=120.00
Space group P321 (No. 150)
One atom of each set of equivalent atoms:
Na: 0.0000 0.6261 0.0000 (multiplicity 3)
Mn: 0.0000 0.2975 0.5000 (multiplicity 3)
Fe: 0.0000 0.0000 0.0000 (multiplicity 1)
Fe: 0.3333 0.6667 0.4998 (multiplicity 2)
F: 0.0972 0.8956 0.2212 (multiplicity 6)
F: 0.1309 0.5357 0.2866 (multiplicity 6)
F: 0.2274 0.7687 0.7109 (multiplicity 6)

Peak list (10 most intense, 2θ = 5–70°, by angle)
2θ/deg, d/Å, Rel. int., h k l
17.4, 5.103, 38.6, 0 0 1
19.3, 4.594, 47.1, 1 1 0
20.7, 4.296, 57.1, 0 1 1
26.1, 3.414, 96.3, 1 1 1
28.4, 3.138, 57.7, 2 0 1
34.6, 2.591, 34.1, 2 1 1
38.2, 2.353, 75.4, 3 0 1
49.6, 1.839, 100.0, 3 0 2
53.3, 1.719, 31.3, 3 2 1
60.5, 1.531, 30.6, 3 3 0